# HfMg6NiO8
Calculated X-ray powder pattern, Cu Kα. Input: the PBE+U geometry in Alexandria.

Main lines, by angle (2θ = 5–70°):
2θ 9.67, I = 58, (0 0 1)
2θ 19.40, I = 51, (0 0 2)
2θ 20.74, I = 82, (1 0 0)
2θ 22.92, I = 49, (1 0 1)
2θ 28.55, I = 77, (1 0 2)
2θ 29.49, I = 35, (1 1 0)
2θ 35.55, I = 81, (1 1 2)
2θ 39.39, I = 57, (0 0 4)
2θ 42.20, I = 100, (2 0 0)
2θ 51.74, I = 30, (2 1 2)
2θ 59.09, I = 62, (2 0 4)
2θ 61.20, I = 30, (2 2 0)

Atomic structure:
```
data_HfMg6NiO8
_symmetry_space_group_name_H-M 'P 4/m m m'
_symmetry_Int_Tables_number 123
_symmetry_space_group_name_Hall '-P 4 2'
_cell_length_a 4.2834
_cell_length_b 4.2834
_cell_length_c 9.1496
_cell_angle_alpha 90.00
_cell_angle_beta 90.00
_cell_angle_gamma 90.00
loop_
_atom_site_label
_atom_site_type_symbol
_atom_site_fract_x
_atom_site_fract_y
_atom_site_fract_z
_atom_site_occupancy
Hf1 Hf 0.0000 0.0000 0.0000 1
Mg1 Mg 0.0000 0.5000 0.2727 1
Mg2 Mg 0.5000 0.5000 0.0000 1
Mg3 Mg 0.5000 0.5000 0.5000 1
Ni1 Ni 0.0000 0.0000 0.5000 1
O1 O 0.0000 0.0000 0.2258 1
O2 O 0.0000 0.5000 0.0000 1
O3 O 0.0000 0.5000 0.5000 1
O4 O 0.5000 0.5000 0.2544 1
```